1.
Calculated powder diffractogram of Nd2DyS4 for CuKα, from DFT lattice parameters and positions (GGA-PBE).
Kinematic intensities with the Lorentz-polarization factor, no thermal factor.

Main lines, low angle first (10° ≤ 2θ ≤ 90°):
d_spacing	two_theta	Rel. int.
6.504	13.6	45
5.599	15.8	20
3.445	25.9	19
3.287	27.1	42
3.252	27.4	40
2.848	31.4	100
2.799	32.0	48
2.030	44.6	18
1.997	45.4	87
1.644	55.9	19

```
data_Nd2DyS4
_chemical_formula_sum 'Nd4 Dy2 S8'
_space_group_name_H-M_alt 'P 1'
_space_group_IT_number 1
_cell_length_a 7.9872
_cell_length_b 7.9872
_cell_length_c 7.9872
_cell_angle_alpha 119.99
_cell_angle_beta 118.88
_cell_angle_gamma 90.99
loop_
_space_group_symop_operation_xyz
'x,y,z'
loop_
_atom_site_label
_atom_site_type_symbol
_atom_site_fract_x
_atom_site_fract_y
_atom_site_fract_z
Nd1 Nd 0.0000 0.0000 0.0000
Nd2 Nd 0.5000 0.0000 0.0000
Nd3 Nd 0.5000 0.0000 0.5000
Nd4 Nd 0.5000 0.5000 0.5000
Dy1 Dy 0.0000 0.0000 0.5000
Dy2 Dy 0.0000 0.5000 0.0000
S1 S 0.2372 0.7460 0.4913
S2 S 0.2453 0.2540 0.9913
S3 S 0.2456 0.2410 0.4955
S4 S 0.2456 0.7501 0.0045
S5 S 0.7544 0.2499 0.9955
S6 S 0.7544 0.7590 0.5045
S7 S 0.7547 0.7460 0.0087
S8 S 0.7628 0.2540 0.5087
```

2.
Calculated powder diffractogram of Ca3Ag5F12 for CuKα, from DFT lattice parameters and positions (GGA-PBE).
Kinematic intensities with the Lorentz-polarization factor, no thermal factor.

Main lines, low angle first (10° ≤ 2θ ≤ 90°):
d_spacing	two_theta	Rel. int.
4.270	20.8	36
3.625	24.6	45
3.228	27.6	55
2.921	30.6	89
2.847	31.4	85
2.411	37.3	100
2.239	40.3	44
2.039	44.4	42
1.724	53.1	44
1.658	55.4	34

```
data_Ca3Ag5F12
_chemical_formula_sum 'Ca3 Ag5 F12'
_space_group_name_H-M_alt 'P 1'
_space_group_IT_number 1
_cell_length_a 9.8620
_cell_length_b 9.8620
_cell_length_c 3.6255
_cell_angle_alpha 90.00
_cell_angle_beta 90.00
_cell_angle_gamma 120.00
loop_
_space_group_symop_operation_xyz
'x,y,z'
loop_
_atom_site_label
_atom_site_type_symbol
_atom_site_fract_x
_atom_site_fract_y
_atom_site_fract_z
Ca1 Ca 0.0000 0.3531 0.0000
Ca2 Ca 0.3531 0.0000 0.0000
Ca3 Ca 0.6469 0.6469 0.0000
Ag1 Ag 0.0000 0.7258 0.5000
Ag2 Ag 0.2742 0.2742 0.5000
Ag3 Ag 0.3333 0.6667 0.5000
Ag4 Ag 0.6667 0.3333 0.5000
Ag5 Ag 0.7258 0.0000 0.5000
F1 F 0.0000 0.1972 0.5000
F2 F 0.0000 0.4823 0.5000
F3 F 0.1972 0.0000 0.5000
F4 F 0.1972 0.7391 0.0000
F5 F 0.2609 0.4581 0.0000
F6 F 0.4581 0.2609 0.0000
F7 F 0.4823 0.0000 0.5000
F8 F 0.5177 0.5177 0.5000
F9 F 0.5419 0.8028 0.0000
F10 F 0.7391 0.1972 0.0000
F11 F 0.8028 0.5419 0.0000
F12 F 0.8028 0.8028 0.5000
```

3.
Calculated powder diffractogram of Pm2Er6Th for CuKα, from DFT lattice parameters and positions (GGA-PBE).
Kinematic intensities with the Lorentz-polarization factor, no thermal factor.

Main lines, low angle first (10° ≤ 2θ ≤ 90°):
d_spacing	two_theta	Rel. int.
2.920	30.6	100
2.895	30.9	56
2.785	32.1	95
2.530	35.5	38
2.249	40.1	21
1.904	47.8	18
1.843	49.5	12
1.658	55.4	18
1.644	55.9	20
1.392	67.2	11

```
data_Pm2Er6Th
_chemical_formula_sum 'Pm2 Er6 Th1'
_space_group_name_H-M_alt 'P 1'
_space_group_IT_number 1
_cell_length_a 9.2906
_cell_length_b 9.2906
_cell_length_c 5.8718
_cell_angle_alpha 98.67
_cell_angle_beta 98.67
_cell_angle_gamma 140.85
loop_
_space_group_symop_operation_xyz
'x,y,z'
loop_
_atom_site_label
_atom_site_type_symbol
_atom_site_fract_x
_atom_site_fract_y
_atom_site_fract_z
Pm1 Pm 0.1524 0.8476 0.0000
Pm2 Pm 0.8476 0.1524 0.0000
Er1 Er 0.1645 0.5019 0.6701
Er2 Er 0.3713 0.3713 0.1868
Er3 Er 0.4981 0.8355 0.3299
Er4 Er 0.5019 0.1645 0.6701
Er5 Er 0.6287 0.6287 0.8132
Er6 Er 0.8355 0.4981 0.3299
Th1 Th 0.0000 0.0000 0.5000
```

4.
Calculated powder diffractogram of Rb6Ge2O7 for CuKα, from DFT lattice parameters and positions (GGA-PBE).
Kinematic intensities with the Lorentz-polarization factor, no thermal factor.

Main lines, low angle first (10° ≤ 2θ ≤ 90°):
d_spacing	two_theta	Rel. int.
3.398	26.2	31
3.257	27.4	48
3.111	28.7	35
3.057	29.2	22
3.027	29.5	100
2.953	30.3	46
2.781	32.2	33
2.766	32.4	50
2.710	33.1	28
2.496	36.0	35

```
data_Rb6Ge2O7
_chemical_formula_sum 'Rb12 Ge4 O14'
_space_group_name_H-M_alt 'P 1'
_space_group_IT_number 1
_cell_length_a 6.9306
_cell_length_b 9.5597
_cell_length_c 11.7372
_cell_angle_alpha 90.00
_cell_angle_beta 124.57
_cell_angle_gamma 90.00
loop_
_space_group_symop_operation_xyz
'x,y,z'
loop_
_atom_site_label
_atom_site_type_symbol
_atom_site_fract_x
_atom_site_fract_y
_atom_site_fract_z
Rb1 Rb 0.0392 0.1468 0.4185
Rb2 Rb 0.0392 0.3532 0.9185
Rb3 Rb 0.2086 0.5270 0.4568
Rb4 Rb 0.2086 0.9730 0.9568
Rb5 Rb 0.3987 0.2133 0.2786
Rb6 Rb 0.3987 0.2867 0.7786
Rb7 Rb 0.6013 0.7133 0.2214
Rb8 Rb 0.6013 0.7867 0.7214
Rb9 Rb 0.7914 0.0270 0.0432
Rb10 Rb 0.7914 0.4730 0.5432
Rb11 Rb 0.9608 0.6468 0.0815
Rb12 Rb 0.9608 0.8532 0.5815
Ge1 Ge 0.3213 0.6388 0.8723
Ge2 Ge 0.3213 0.8612 0.3723
Ge3 Ge 0.6787 0.1388 0.6277
Ge4 Ge 0.6787 0.3612 0.1277
O1 O 0.0672 0.6608 0.8730
O2 O 0.0672 0.8392 0.3730
O3 O 0.2541 0.5841 0.7092
O4 O 0.2541 0.9159 0.2092
O5 O 0.4935 0.2117 0.0652
O6 O 0.4935 0.2883 0.5652
O7 O 0.5000 0.0000 0.5000
O8 O 0.5000 0.5000 0.0000
O9 O 0.5065 0.7117 0.4348
O10 O 0.5065 0.7883 0.9348
O11 O 0.7459 0.0841 0.7908
O12 O 0.7459 0.4159 0.2908
O13 O 0.9328 0.1608 0.6270
O14 O 0.9328 0.3392 0.1270
```

5.
Calculated powder diffractogram of V3Zn2N for CuKα, from DFT lattice parameters and positions (GGA-PBE).
Kinematic intensities with the Lorentz-polarization factor, no thermal factor.

Main lines, low angle first (10° ≤ 2θ ≤ 90°):
d_spacing	two_theta	Rel. int.
2.193	41.2	100
2.081	43.5	55
1.984	45.7	19
1.759	52.0	18
1.596	57.8	5
1.471	63.2	6
1.291	73.4	22
1.266	75.0	7
1.222	78.2	23
1.097	89.3	8

```
data_V3Zn2N
_chemical_formula_sum 'V12 Zn8 N4'
_space_group_name_H-M_alt 'P 1'
_space_group_IT_number 1
_cell_length_a 6.5803
_cell_length_b 6.5803
_cell_length_c 6.5803
_cell_angle_alpha 90.00
_cell_angle_beta 90.00
_cell_angle_gamma 90.00
loop_
_space_group_symop_operation_xyz
'x,y,z'
loop_
_atom_site_label
_atom_site_type_symbol
_atom_site_fract_x
_atom_site_fract_y
_atom_site_fract_z
V1 V 0.0372 0.1250 0.7872
V2 V 0.1250 0.7872 0.0372
V3 V 0.2128 0.5372 0.3750
V4 V 0.2872 0.4628 0.8750
V5 V 0.3750 0.2128 0.5372
V6 V 0.4628 0.8750 0.2872
V7 V 0.5372 0.3750 0.2128
V8 V 0.6250 0.7128 0.9628
V9 V 0.7128 0.9628 0.6250
V10 V 0.7872 0.0372 0.1250
V11 V 0.8750 0.2872 0.4628
V12 V 0.9628 0.6250 0.7128
Zn1 Zn 0.0729 0.9271 0.4271
Zn2 Zn 0.1771 0.1771 0.1771
Zn3 Zn 0.3229 0.8229 0.6771
Zn4 Zn 0.4271 0.0729 0.9271
Zn5 Zn 0.5729 0.5729 0.5729
Zn6 Zn 0.6771 0.3229 0.8229
Zn7 Zn 0.8229 0.6771 0.3229
Zn8 Zn 0.9271 0.4271 0.0729
N1 N 0.1250 0.3750 0.6250
N2 N 0.3750 0.6250 0.1250
N3 N 0.6250 0.1250 0.3750
N4 N 0.8750 0.8750 0.8750
```

6.
Calculated powder diffractogram of Nd2Sm7 for CuKα, from DFT lattice parameters and positions (GGA-PBE).
Kinematic intensities with the Lorentz-polarization factor, no thermal factor.

Main lines, low angle first (10° ≤ 2θ ≤ 90°):
d_spacing	two_theta	Rel. int.
2.971	30.1	100
2.573	34.9	51
1.822	50.1	18
1.818	50.2	18
1.552	59.5	32
1.550	59.7	11
1.487	62.5	9
1.182	81.4	9
1.152	84.0	8
1.150	84.2	8

```
data_Nd2Sm7
_chemical_formula_sum 'Nd2 Sm7'
_space_group_name_H-M_alt 'P 1'
_space_group_IT_number 1
_cell_length_a 6.3100
_cell_length_b 6.3100
_cell_length_c 8.8947
_cell_angle_alpha 90.00
_cell_angle_beta 90.00
_cell_angle_gamma 120.00
loop_
_space_group_symop_operation_xyz
'x,y,z'
loop_
_atom_site_label
_atom_site_type_symbol
_atom_site_fract_x
_atom_site_fract_y
_atom_site_fract_z
Nd1 Nd 0.3333 0.6667 0.0000
Nd2 Nd 0.6667 0.3333 0.0000
Sm1 Sm 0.0000 0.0000 0.0000
Sm2 Sm 0.0000 0.3330 0.6656
Sm3 Sm 0.0000 0.6670 0.3344
Sm4 Sm 0.3330 0.0000 0.6656
Sm5 Sm 0.3330 0.3330 0.3344
Sm6 Sm 0.6670 0.0000 0.3344
Sm7 Sm 0.6670 0.6670 0.6656
```